Diffraction record for LiCeCu2Br8. The powder X-ray diffraction pattern is computed, not measured: it uses a crystal structure in Alexandria, relaxed with GGA-PBE and CuKα.
Peak positions follow from Bragg's law for the DFT cell and can differ from measured ones.

Structure:
Cell lengths 7.7832, 7.7832, 7.7832 Å; angles 107.82, 107.82, 112.84 degrees
Positions (direct):
Li (0.0000, 0.0000, 0.0000)
Ce (0.2500, 0.7500, 0.5000)
Cu (0.5000, 0.5000, 0.0000)
Cu (0.7500, 0.2500, 0.5000)
Br (0.3149, 0.1192, 0.8043)
Br (0.3149, 0.5106, 0.1957)
Br (0.3635, 0.0502, 0.3133)
Br (0.4894, 0.6851, 0.8043)
Br (0.7368, 0.0502, 0.6867)
Br (0.8808, 0.6851, 0.1957)
Br (0.9498, 0.2632, 0.3133)
Br (0.9498, 0.6365, 0.6867)

Largest 10 diffraction maxima, in order of rising 2θ, 2θ from 10° to 90°:
- 2θ = 13.66°, 6.484 Å, I = 36
- 2θ = 14.11°, 6.277 Å, I = 38
- 2θ = 19.36°, 4.585 Å, I = 100
- 2θ = 24.04°, 3.702 Å, I = 86
- 2θ = 28.44°, 3.138 Å, I = 89
- 2θ = 31.05°, 2.881 Å, I = 77
- 2θ = 32.69°, 2.739 Å, I = 49
- 2θ = 37.39°, 2.405 Å, I = 93
- 2θ = 39.30°, 2.293 Å, I = 48
- 2θ = 47.04°, 1.932 Å, I = 72